(1)
Simulated X-ray powder pattern of LaZrO3 for copper Kα, from a structure optimized by DFT (PBE).
Neutral-atom scattering factors, no anomalous dispersion.

The 10 most intense peaks (2θ = 10–90°), in order of rising 2θ:
two_theta, d/Å, I_rel
21.19, 4.194, 15
30.14, 2.965, 1000
37.13, 2.421, 72
43.14, 2.097, 314
53.52, 1.712, 402
62.66, 1.483, 193
71.09, 1.326, 172
75.13, 1.264, 21
79.11, 1.211, 63
86.91, 1.121, 207

Atomic structure:
Unit cell a=4.194 b=4.194 c=4.194 alpha=90.00 beta=90.00 gamma=90.00
Space group Pm-3m (No. 221)
Inequivalent atoms, fractional coordinates:
La  0.000  0.000  0.000 x1
Zr  0.500  0.500  0.500 x1
O  0.000  0.500  0.500 x3

(2)
Simulated X-ray powder pattern of Tm2GeO5 for copper Kα, from a structure optimized by DFT (PBE).
Neutral-atom scattering factors, no anomalous dispersion.

The 10 most intense peaks (2θ = 10–90°), in order of rising 2θ:
two_theta, d/Å, I_rel
19.13, 4.639, 370
26.51, 3.362, 322
29.87, 2.991, 895
30.78, 2.905, 1000
33.22, 2.697, 231
33.52, 2.674, 332
34.73, 2.583, 361
49.04, 1.858, 376
54.60, 1.681, 193
58.76, 1.571, 213

Atomic structure:
Unit cell a=11.556 b=5.167 c=7.373 alpha=90.00 beta=114.22 gamma=90.00
Space group C2/c (No. 15)
Inequivalent atoms, fractional coordinates:
Tm  0.143  0.013  0.266 x8
Ge  0.000  0.500  0.000 x4
O  0.000  0.335  0.250 x4
O  0.076  0.189  0.966 x8
O  0.167  0.348  0.634 x8

(3)
Simulated X-ray powder pattern of Er3Ge13Rh4 for copper Kα, from a structure optimized by DFT (PBE).
Neutral-atom scattering factors, no anomalous dispersion.

The 10 most intense peaks (2θ = 10–90°), in order of rising 2θ:
two_theta, d/Å, I_rel
22.02, 4.037, 149
34.42, 2.606, 247
35.87, 2.503, 1000
37.27, 2.412, 410
39.95, 2.257, 310
49.47, 1.842, 195
59.74, 1.548, 125
63.54, 1.464, 138
69.02, 1.361, 218
76.89, 1.240, 112

Atomic structure:
Unit cell a=9.026 b=9.026 c=9.026 alpha=90.00 beta=90.00 gamma=90.00
Space group Pm-3n (No. 223)
Inequivalent atoms, fractional coordinates:
Er  0.000  0.250  0.500 x6
Ge  0.000  0.000  0.000 x2
Ge  0.000  0.310  0.147 x24
Rh  0.250  0.250  0.250 x8

(4)
Simulated X-ray powder pattern of Li3BiB4O9 for copper Kα, from a structure optimized by DFT (PBE).
Neutral-atom scattering factors, no anomalous dispersion.

The 10 most intense peaks (2θ = 10–90°), in order of rising 2θ:
two_theta, d/Å, I_rel
12.40, 7.140, 513
17.29, 5.128, 696
19.20, 4.623, 535
20.47, 4.340, 529
24.00, 3.708, 428
25.44, 3.501, 1000
26.96, 3.307, 499
32.90, 2.723, 391
34.42, 2.605, 283
35.10, 2.557, 364

Atomic structure:
Unit cell a=5.716 b=8.679 c=7.471 alpha=90.00 beta=107.12 gamma=90.00
Space group P2_1/m (No. 11)
Inequivalent atoms, fractional coordinates:
Li  0.062  0.250  0.014 x2
Li  0.289  0.531  0.248 x4
Bi  0.151  0.250  0.565 x2
B  0.219  0.552  0.810 x4
B  0.404  0.750  0.058 x2
B  0.476  0.250  0.228 x2
O  0.046  0.059  0.736 x4
O  0.236  0.612  0.986 x4
O  0.263  0.250  0.291 x2
O  0.368  0.607  0.706 x4
O  0.397  0.250  0.020 x2
O  0.467  0.750  0.262 x2

(5)
Simulated X-ray powder pattern of LaFe5H7 for copper Kα, from a structure optimized by DFT (PBE).
Neutral-atom scattering factors, no anomalous dispersion.

The 10 most intense peaks (2θ = 10–90°), in order of rising 2θ:
two_theta, d/Å, I_rel
28.23, 3.161, 473
31.75, 2.819, 358
36.82, 2.441, 391
38.62, 2.331, 1000
43.64, 2.074, 221
54.42, 1.686, 152
58.39, 1.581, 210
61.18, 1.515, 253
66.33, 1.409, 178
82.81, 1.166, 170

Atomic structure:
Unit cell a=5.6371 b=5.6371 c=8.2959 alpha=90.00 beta=90.00 gamma=120.00
Space group P6_3mc (No. 186)
Inequivalent atoms, fractional coordinates:
La  0.0000  0.0000  0.0000 x2
Fe  0.0235  0.5118  0.2498 x6
Fe  0.3333  0.6667  0.4912 x2
Fe  0.3333  0.6667  0.9672 x2
H  0.0061  0.5031  0.0406 x6
H  0.1404  0.2809  0.2508 x6
H  0.3333  0.6667  0.7467 x2

(6)
Simulated X-ray powder pattern of Mg2Si for copper Kα, from a structure optimized by DFT (PBE).
Neutral-atom scattering factors, no anomalous dispersion.

The 10 most intense peaks (2θ = 10–90°), in order of rising 2θ:
two_theta, d/Å, I_rel
32.83, 2.728, 508
33.24, 2.695, 379
34.38, 2.608, 1000
35.07, 2.559, 549
36.04, 2.492, 420
37.98, 2.369, 732
40.55, 2.225, 315
40.99, 2.202, 311
41.28, 2.187, 512
43.22, 2.093, 362

Atomic structure:
Unit cell a=5.344 b=6.806 c=7.235 alpha=73.49 beta=74.32 gamma=79.49
Space group P1 (No. 1)
Inequivalent atoms, fractional coordinates:
Mg  0.000  0.000  0.000 x1
Mg  0.006  0.574  0.257 x1
Mg  0.345  0.696  0.768 x1
Mg  0.456  0.821  0.264 x1
Mg  0.523  0.140  0.851 x1
Mg  0.645  0.352  0.146 x1
Mg  0.853  0.943  0.494 x1
Mg  0.965  0.421  0.701 x1
Si  0.176  0.206  0.193 x1
Si  0.318  0.124  0.520 x1
Si  0.523  0.431  0.517 x1
Si  0.783  0.733  0.898 x1